Sm3CuSnSe7: calculated XRD peak list (CuKα), based on a DFT-relaxed cell (PBE, OQMD).
Neutral-atom scattering factors, no anomalous dispersion.

Cell and atoms:
Cell lengths 10.4890, 10.4890, 6.3642 Å; angles 90.00, 90.00, 120.00 degrees
Space group P6_3 (No. 173)
Inequivalent atoms, fractional coordinates:
Sm: 0.1418 0.7856 0.0000 (multiplicity 6)
Cu: 0.0000 0.0000 0.0609 (multiplicity 2)
Sn: 0.3333 0.6667 0.4252 (multiplicity 2)
Se: 0.0815 0.5141 0.2467 (multiplicity 6)
Se: 0.1069 0.8463 0.5459 (multiplicity 6)
Se: 0.3333 0.6667 0.8227 (multiplicity 2)

Principal peaks in the range 2θ = 10–80°, most intense first:
2θ = 34.19°, d = 2.622 Å, I = 100; 2θ = 34.41°, d = 2.606 Å, I = 58; 2θ = 24.07°, d = 3.697 Å, I = 58; 2θ = 29.75°, d = 3.003 Å, I = 45; 2θ = 29.56°, d = 3.022 Å, I = 40; 2θ = 32.75°, d = 2.734 Å, I = 34; 2θ = 38.58°, d = 2.334 Å, I = 33; 2θ = 35.64°, d = 2.519 Å, I = 29; 2θ = 44.79°, d = 2.024 Å, I = 29; 2θ = 47.29°, d = 1.922 Å, I = 23; 2θ = 38.43°, d = 2.342 Å, I = 22; 2θ = 28.04°, d = 3.182 Å, I = 22

---

Lu4ZnAuN2: calculated XRD peak list (CuKα), based on a DFT-relaxed cell (PBE, OQMD).
Neutral-atom scattering factors, no anomalous dispersion.

Cell and atoms:
Cell lengths 3.3972, 3.3972, 14.4282 Å; angles 90.00, 90.00, 120.00 degrees
Space group P-6m2 (No. 187)
Inequivalent atoms, fractional coordinates:
Lu: 0.0000 0.0000 0.1552 (multiplicity 2)
Lu: 0.6667 0.3333 0.3401 (multiplicity 2)
Zn: 0.0000 0.0000 0.5000 (multiplicity 1)
Au: 0.6667 0.3333 0.0000 (multiplicity 1)
N: 0.3333 0.6667 0.2502 (multiplicity 2)

Principal peaks in the range 2θ = 10–80°, most intense first:
2θ = 35.78°, d = 2.510 Å, I = 100; 2θ = 66.44°, d = 1.407 Å, I = 31; 2θ = 30.38°, d = 2.942 Å, I = 24; 2θ = 53.98°, d = 1.699 Å, I = 22; 2θ = 67.51°, d = 1.387 Å, I = 19; 2θ = 37.40°, d = 2.405 Å, I = 17; 2θ = 48.92°, d = 1.862 Å, I = 15; 2θ = 75.81°, d = 1.255 Å, I = 4; 2θ = 39.53°, d = 2.280 Å, I = 4; 2θ = 54.35°, d = 1.688 Å, I = 4; 2θ = 63.21°, d = 1.471 Å, I = 3; 2θ = 31.02°, d = 2.883 Å, I = 3

---

Zr5AgPb3: calculated XRD peak list (CuKα), based on a DFT-relaxed cell (PBE, OQMD).
Neutral-atom scattering factors, no anomalous dispersion.

Cell and atoms:
Cell lengths 8.8658, 8.8658, 5.9968 Å; angles 90.00, 90.00, 120.00 degrees
Space group P6_3/mcm (No. 193)
Inequivalent atoms, fractional coordinates:
Zr: 0.0000 0.2813 0.2500 (multiplicity 6)
Zr: 0.3333 0.6667 0.0000 (multiplicity 4)
Ag: 0.0000 0.0000 0.0000 (multiplicity 2)
Pb: 0.0000 0.3771 0.7500 (multiplicity 6)

Principal peaks in the range 2θ = 10–80°, most intense first:
2θ = 35.06°, d = 2.559 Å, I = 100; 2θ = 36.17°, d = 2.484 Å, I = 97; 2θ = 34.33°, d = 2.612 Å, I = 53; 2θ = 24.98°, d = 3.565 Å, I = 35; 2θ = 45.18°, d = 2.007 Å, I = 26; 2θ = 51.26°, d = 1.782 Å, I = 25; 2θ = 73.16°, d = 1.294 Å, I = 23; 2θ = 63.62°, d = 1.463 Å, I = 20; 2θ = 66.27°, d = 1.410 Å, I = 19; 2θ = 29.80°, d = 2.998 Å, I = 19; 2θ = 46.66°, d = 1.947 Å, I = 14; 2θ = 55.85°, d = 1.646 Å, I = 13

---

Repeat the second record exactly.
Lu4ZnAuN2: calculated XRD peak list (CuKα), based on a DFT-relaxed cell (PBE, OQMD).
Neutral-atom scattering factors, no anomalous dispersion.

Cell and atoms:
Cell lengths 3.3972, 3.3972, 14.4282 Å; angles 90.00, 90.00, 120.00 degrees
Space group P-6m2 (No. 187)
Inequivalent atoms, fractional coordinates:
Lu: 0.0000 0.0000 0.1552 (multiplicity 2)
Lu: 0.6667 0.3333 0.3401 (multiplicity 2)
Zn: 0.0000 0.0000 0.5000 (multiplicity 1)
Au: 0.6667 0.3333 0.0000 (multiplicity 1)
N: 0.3333 0.6667 0.2502 (multiplicity 2)

Principal peaks in the range 2θ = 10–80°, most intense first:
2θ = 35.78°, d = 2.510 Å, I = 100; 2θ = 66.44°, d = 1.407 Å, I = 31; 2θ = 30.38°, d = 2.942 Å, I = 24; 2θ = 53.98°, d = 1.699 Å, I = 22; 2θ = 67.51°, d = 1.387 Å, I = 19; 2θ = 37.40°, d = 2.405 Å, I = 17; 2θ = 48.92°, d = 1.862 Å, I = 15; 2θ = 75.81°, d = 1.255 Å, I = 4; 2θ = 39.53°, d = 2.280 Å, I = 4; 2θ = 54.35°, d = 1.688 Å, I = 4; 2θ = 63.21°, d = 1.471 Å, I = 3; 2θ = 31.02°, d = 2.883 Å, I = 3